Simulated powder XRD pattern
Compound: Ag2GeTe2Se
Radiation: Cu Kα, 1.54184 Å
Structure: DFT lattice parameters and positions (GGA-PBE)
Neutral-atom scattering factors, no anomalous dispersion.

Structural model:
Lattice parameters (Å, degrees): 7.6794 7.6794 7.1495 90.00 90.00 59.27
Sites, in units of the cell vectors:
Ag 0.0154 0.6761 0.5000
Ag 0.3239 0.9846 0.5000
Ag 0.6761 0.0154 0.0000
Ag 0.9846 0.3239 0.0000
Ge 0.3483 0.6517 0.9909
Ge 0.6517 0.3483 0.4909
Te 0.0221 0.6560 0.8883
Te 0.3440 0.9779 0.8883
Te 0.6560 0.0221 0.3883
Te 0.9779 0.3440 0.3883
Se 0.3511 0.6489 0.3523
Se 0.6489 0.3511 0.8523

Principal peaks in the range 2θ = 10–80°, in order of falling intensity:
two_theta  I_rel
23.17  100.0
24.91  99.1
41.02  89.2
44.76  85.9
26.35  64.0
23.43  61.0
48.59  57.6
40.54  45.7
44.91  40.1
34.27  37.4
48.17  29.4
26.58  29.4